1.
Diffraction record for Sn3Au. The X-ray diffraction stick pattern is computed, not measured: it uses DFT lattice parameters and positions (PBE) and Cu Kα (λ = 1.5418 Å).

Cell and atoms:
Cell: 6.669 6.669 5.236 Å, 90.00 90.00 120.00°
Fractional coordinates of all 8 atoms:
Sn: 0.171 0.342 0.250
Sn: 0.171 0.829 0.250
Sn: 0.342 0.171 0.750
Sn: 0.658 0.829 0.250
Sn: 0.829 0.171 0.750
Sn: 0.829 0.658 0.750
Au: 0.333 0.667 0.750
Au: 0.667 0.333 0.250

Most intense lines, 2θ from 15° to 90°, by intensity:
2θ/deg  Rel. int.  hkl
35.50  100.0  2 0 1
34.25  24.5  0 0 2
30.97  23.8  2 0 0
66.49  22.2  2 2 2
62.15  20.4  2 0 3
55.09  19.2  2 2 0
67.27  16.1  4 0 1
46.84  15.5  2 0 2
87.73  8.5  4 0 3
22.93  4.3  1 0 1

=====

2.
Diffraction record for SnAu. The X-ray diffraction stick pattern is computed, not measured: it uses DFT lattice parameters and positions (PBE) and Cu Kα (λ = 1.5418 Å).

Cell and atoms:
Cell: 4.419 4.419 5.664 Å, 90.00 90.00 120.00°
Fractional coordinates of all 4 atoms:
Sn: 0.333 0.667 0.250
Sn: 0.667 0.333 0.750
Au: 0.000 0.000 0.000
Au: 0.000 0.000 0.500

Most intense lines, 2θ from 15° to 90°, by intensity:
2θ/deg  Rel. int.  hkl
39.59  100.0  1 0 2
40.84  70.0  1 1 0
23.24  54.1  1 0 0
28.14  40.4  1 0 1
73.52  33.8  2 1 2
58.19  33.0  2 0 2
80.57  20.7  1 1 4
74.36  12.6  3 0 0
88.51  8.6  2 2 0
50.33  8.4  2 0 1

=====

3.
Diffraction record for Sr4Sn9Au7. The X-ray diffraction stick pattern is computed, not measured: it uses DFT lattice parameters and positions (PBE) and Cu Kα (λ = 1.5418 Å).

Cell and atoms:
Cell: 4.822 4.822 22.953 Å, 90.00 90.00 90.00°
Fractional coordinates of all 20 atoms:
Sr: 0.000 0.500 0.117
Sr: 0.000 0.500 0.630
Sr: 0.500 0.000 0.370
Sr: 0.500 0.000 0.883
Sn: 0.000 0.000 0.245
Sn: 0.000 0.000 0.755
Sn: 0.000 0.500 0.429
Sn: 0.000 0.500 0.937
Sn: 0.500 0.000 0.063
Sn: 0.500 0.000 0.571
Sn: 0.500 0.500 0.246
Sn: 0.500 0.500 0.500
Sn: 0.500 0.500 0.754
Au: 0.000 0.000 0.000
Au: 0.000 0.000 0.500
Au: 0.000 0.500 0.312
Au: 0.000 0.500 0.819
Au: 0.500 0.000 0.181
Au: 0.500 0.000 0.688
Au: 0.500 0.500 0.000

Most intense lines, 2θ from 15° to 90°, by intensity:
2θ/deg  Rel. int.  hkl
30.50  100.0  1 1 4
37.30  85.5  2 0 0
41.12  71.5  1 1 8
29.81  47.3  1 0 6
19.97  34.7  1 0 2
69.86  31.2  3 1 8
53.77  30.2  2 2 0
43.68  26.2  1 0 10
63.09  25.9  3 1 4
48.46  25.0  2 1 6